Diffraction record for MgCr4S8. The X-ray diffraction stick pattern is computed, not measured: it uses a cell relaxed with PBE and Cu Ka.
Kinematic intensities with the Lorentz-polarization factor, no thermal factor.

Atomic structure:
```
data_MgCr4S8
_cell_length_a 12.0735
_cell_length_b 6.9687
_cell_length_c 7.0862
_cell_angle_alpha 90.00
_cell_angle_beta 124.53
_cell_angle_gamma 90.00
_space_group_name_H-M_alt 'C 1 m 1'
_space_group_IT_number 8
loop_
_space_group_symop_operation_xyz
'x,y,z'
'x,-y,z'
'x+1/2,y+1/2,z'
'x+1/2,-y+1/2,z'
loop_
_atom_site_label
_atom_site_fract_x
_atom_site_fract_y
_atom_site_fract_z
Mg1 0.0000 0.0000 0.0000
Cr1 0.1174 0.5000 0.3923
Cr2 0.1272 0.5000 0.8821
Cr3 0.3876 0.2299 0.3923
S1 0.1237 0.2662 0.6367
S2 0.1445 0.2741 0.1581
S3 0.3626 0.5000 0.5877
S4 0.3693 0.5000 0.1576
S5 0.3829 0.0000 0.1479
S6 0.3895 0.0000 0.6371
```

Principal peaks in the range 2θ = 15–90°, in order of falling intensity:
(4 0 0), d = 2.485 Å, intensity 100.0; (1 1 0), d = 5.707 Å, intensity 62.9; (2 2 2), d = 1.772 Å, intensity 38.2; (0 4 0), d = 1.742 Å, intensity 35.6; (0 2 1), d = 2.992 Å, intensity 24.6; (0 0 1), d = 5.838 Å, intensity 21.5; (5 1 0), d = 1.912 Å, intensity 15.6; (4 4 0), d = 1.427 Å, intensity 12.8; (1 1 -2), d = 3.030 Å, intensity 12.0; (2 2 -1), d = 2.974 Å, intensity 11.4